1.
# Pu2PaSb3
Computed powder diffractogram, CuKα. Input: a crystal structure in Alexandria, relaxed with PBE.
Intensities are scaled so that the largest is 100.

Crystal structure
```
data_Pu2PaSb3
_space_group_name_H-M_alt 'I m m m'
_space_group_IT_number 71
_space_group_name_Hall '-I 2 2'
_cell_length_a 4.434
_cell_length_b 6.237
_cell_length_c 13.206
_cell_angle_alpha 90.00
_cell_angle_beta 90.00
_cell_angle_gamma 90.00
loop_
_atom_site_label
_atom_site_fract_x
_atom_site_fract_y
_atom_site_fract_z
Pu1 0.000 0.000 0.168
Pa1 0.000 0.000 0.500
Sb1 0.000 0.500 0.163
Sb2 0.000 0.500 0.500
```

Top 10 peaks for 2θ from 15° to 90°, most intense first:
two_theta, I/Imax
28.6, 100.0
40.9, 51.6
50.5, 14.2
50.8, 13.8
74.6, 13.4
40.7, 13.1
41.0, 12.7
67.0, 12.1
67.1, 12.1
74.2, 9.1


2.
# Tb5SmYTh2
Computed powder diffractogram, CuKα. Input: a crystal structure in Alexandria, relaxed with PBE.
Intensities are scaled so that the largest is 100.

Crystal structure
```
data_Tb5SmYTh2
_space_group_name_H-M_alt 'I 4/m c m'
_space_group_IT_number 140
_space_group_name_Hall '-I 4 2c'
_cell_length_a 8.836
_cell_length_b 8.836
_cell_length_c 15.451
_cell_angle_alpha 90.00
_cell_angle_beta 90.00
_cell_angle_gamma 90.00
loop_
_atom_site_label
_atom_site_fract_x
_atom_site_fract_y
_atom_site_fract_z
Tb1 0.000 0.000 0.000
Tb2 0.210 0.290 0.138
Sm1 0.000 0.000 0.250
Y1 0.000 0.500 0.250
Th1 0.119 0.381 0.500
```

Top 10 peaks for 2θ from 15° to 90°, most intense first:
two_theta, I/Imax
30.7, 100.0
28.5, 82.7
28.6, 52.1
37.1, 32.1
42.6, 28.4
32.0, 27.6
56.0, 25.5
36.9, 22.9
52.0, 22.0
78.9, 19.5